Simulated powder diffraction line list of Be3Al2Si6O19 for Cu Kα, 1.54184 Å, from a DFT-relaxed cell (GGA-PBE, the Materials Project).
Peak positions follow from Bragg's law for the DFT cell and can differ from measured ones.

Structure:
abc: 9.3036 9.3036 9.2898
angles: 90.00 90.00 120.00
Space group P6/mcc (No. 192)
One atom of each set of equivalent atoms:
Be: 0.0000 0.5000 0.2500 (multiplicity 6)
Al: 0.3333 0.6667 0.2500 (multiplicity 4)
Si: 0.1157 0.3882 0.0000 (multiplicity 12)
O: 0.0000 0.0000 0.2500 (multiplicity 2)
O: 0.0738 0.3103 0.5000 (multiplicity 12)
O: 0.1451 0.4993 0.1456 (multiplicity 24)

Most intense lines, 5° ≤ 2θ ≤ 70°, low angle first:
- 10.98 deg, rel. 94.1, hkl 1 0 0
- 19.11 deg, rel. 28.0, hkl 0 0 2
- 22.08 deg, rel. 16.8, hkl 1 0 2
- 27.13 deg, rel. 100.0, hkl 1 1 2
- 29.34 deg, rel. 34.1, hkl 2 0 2
- 30.90 deg, rel. 82.8, hkl 2 1 1
- 52.04 deg, rel. 23.0, hkl 3 0 4
- 55.94 deg, rel. 16.5, hkl 2 2 4